[1]
Calculated powder diffractogram of PrSi3Rh5 for Cu Ka, from the GGA-PBE geometry in Alexandria.
Peak positions follow from Bragg's law for the DFT cell and can differ from measured ones.

Structural model:
```
data_PrSi3Rh5
_chemical_formula_sum 'Pr4 Si12 Rh20'
_space_group_name_H-M_alt 'C m c m'
_space_group_IT_number 63
_space_group_name_Hall '-C 2c 2'
_cell_length_a 3.952
_cell_length_b 12.347
_cell_length_c 12.231
_cell_angle_alpha 90.00
_cell_angle_beta 90.00
_cell_angle_gamma 90.00
loop_
_atom_site_label
_atom_site_type_symbol
_atom_site_fract_x
_atom_site_fract_y
_atom_site_fract_z
Pr1 Pr 0.000 0.163 0.250
Si1 Si 0.000 0.111 0.750
Si2 Si 0.000 0.384 0.539
Rh1 Rh 0.000 0.000 0.000
Rh2 Rh 0.000 0.202 0.573
Rh3 Rh 0.000 0.449 0.144
```

The 6 most intense peaks (10° ≤ 2θ ≤ 80°), by angle:
two_theta	I/Imax	h k l
26.19	50.6	0 2 3
31.38	55.4	1 3 0
32.37	100.0	1 1 3
34.72	44.1	1 3 2
37.91	83.8	1 1 4
45.93	59.5	2 0 0

[2]
Calculated powder diffractogram of Ca4ZnIn3 for Cu Ka, from the GGA-PBE geometry in Alexandria.
Peak positions follow from Bragg's law for the DFT cell and can differ from measured ones.

Structural model:
```
data_Ca4ZnIn3
_chemical_formula_sum 'Ca4 Zn1 In3'
_space_group_name_H-M_alt 'P 4/m m m'
_space_group_IT_number 123
_space_group_name_Hall '-P 4 2'
_cell_length_a 3.803
_cell_length_b 3.803
_cell_length_c 15.402
_cell_angle_alpha 90.00
_cell_angle_beta 90.00
_cell_angle_gamma 90.00
loop_
_atom_site_label
_atom_site_type_symbol
_atom_site_fract_x
_atom_site_fract_y
_atom_site_fract_z
Ca1 Ca 0.000 0.000 0.116
Ca2 Ca 0.000 0.000 0.373
Zn1 Zn 0.500 0.500 0.000
In1 In 0.500 0.500 0.245
In2 In 0.500 0.500 0.500
```

The 6 most intense peaks (10° ≤ 2θ ≤ 80°), by angle:
two_theta	I/Imax	h k l
23.39	21.7	1 0 0
33.11	100.0	1 0 4
33.32	49.9	1 1 0
47.84	17.7	2 0 0
59.01	16.8	1 1 8
59.41	34.3	2 1 4

[3]
Calculated powder diffractogram of Mg2ZnSe for Cu Ka, from the GGA-PBE geometry in Alexandria.
Peak positions follow from Bragg's law for the DFT cell and can differ from measured ones.

Structural model:
```
data_Mg2ZnSe
_chemical_formula_sum 'Mg2 Zn1 Se1'
_space_group_name_H-M_alt 'P 1 m 1'
_space_group_IT_number 6
_cell_length_a 3.895
_cell_length_b 3.780
_cell_length_c 5.970
_cell_angle_alpha 90.00
_cell_angle_beta 107.50
_cell_angle_gamma 90.00
loop_
_space_group_symop_operation_xyz
'x,y,z'
'x,-y,z'
loop_
_atom_site_label
_atom_site_type_symbol
_atom_site_fract_x
_atom_site_fract_y
_atom_site_fract_z
Mg1 Mg 0.000 0.000 0.000
Mg2 Mg 0.337 0.500 0.588
Zn1 Zn 0.544 0.500 0.099
Se1 Se 0.807 0.000 0.519
```

The 6 most intense peaks (10° ≤ 2θ ≤ 80°), by angle:
two_theta	I/Imax	h k l
28.34	61.6	0 1 1
31.42	77.9	0 0 2
33.83	100.0	1 1 0
34.13	47.3	1 1 -1
40.52	47.5	1 1 1
41.27	68.8	1 1 -2

[4]
Calculated powder diffractogram of LaZn5CdAu2 for Cu Ka, from the GGA-PBE geometry in Alexandria.
Peak positions follow from Bragg's law for the DFT cell and can differ from measured ones.

Structural model:
```
data_LaZn5CdAu2
_chemical_formula_sum 'La1 Zn5 Cd1 Au2'
_space_group_name_H-M_alt 'P 4/m m m'
_space_group_IT_number 123
_space_group_name_Hall '-P 4 2'
_cell_length_a 4.986
_cell_length_b 4.986
_cell_length_c 7.639
_cell_angle_alpha 90.00
_cell_angle_beta 90.00
_cell_angle_gamma 90.00
loop_
_atom_site_label
_atom_site_type_symbol
_atom_site_fract_x
_atom_site_fract_y
_atom_site_fract_z
La1 La 0.000 0.000 0.000
Zn1 Zn 0.000 0.500 0.275
Zn2 Zn 0.500 0.500 0.000
Cd1 Cd 0.000 0.000 0.500
Au1 Au 0.500 0.500 0.322
```

The 6 most intense peaks (10° ≤ 2θ ≤ 80°), by angle:
two_theta	I/Imax	h k l
25.26	45.6	1 1 0
29.46	60.0	1 0 2
36.03	100.0	2 0 0
47.20	33.1	2 1 2
51.28	32.7	2 0 3
51.87	34.8	2 2 0